The following is a calculated powder diffraction line list of MnNb4Se8. It was derived from DFT lattice parameters and positions (GGA-PBE), using Cu Kα X-rays.

The 10 most intense peaks (2θ = 15–90°), by angle:
2θ (°)	d/Å	Rel. int.
30.2	2.960	585
32.5	2.751	386
36.2	2.484	437
40.7	2.215	1000
46.1	1.970	138
52.1	1.756	548
57.0	1.616	120
58.5	1.579	123
68.2	1.376	205
80.8	1.189	293

```
MnNb4Se8
1.0
7.0220 0.0000 0.0000
-3.5110 6.0812 0.0000
0.0000 0.0000 12.9290
Mn Nb Se
2 8 16
Cartesian
0.0000 0.0000 0.0000
0.0000 0.0000 6.4645
0.0000 0.0000 3.2323
0.0000 0.0000 9.6968
-1.6755 3.0868 3.2323
1.6755 3.0868 3.2323
0.0000 5.9889 3.2323
3.5110 0.0923 9.6968
1.8355 2.9945 9.6968
5.1865 2.9945 9.6968
0.0000 2.0600 8.0443
0.0000 2.0600 11.3492
-1.7270 5.0512 8.0443
-1.7270 5.0512 11.3492
0.0000 4.0542 1.5067
0.0000 4.0542 4.9578
1.7840 1.0300 1.5798
1.7840 1.0300 4.8847
1.7270 5.0512 8.0443
1.7270 5.0512 11.3492
3.5110 2.0271 7.9712
3.5110 2.0271 11.4223
5.2380 1.0300 1.5798
5.2380 1.0300 4.8847
3.5110 4.0212 1.5798
3.5110 4.0212 4.8847
```